Simulated PXRD pattern
Compound: K3ZrV2Se6
Radiation: a wavelength of 1.5418 Å
Structure: a DFT-relaxed cell (PBE, Alexandria)
No peak broadening, texture or thermal motion is included.

```
data_K3ZrV2Se6
_chemical_formula_sum 'K6 Zr2 V4 Se12'
_cell_length_a 6.762
_cell_length_b 11.707
_cell_length_c 7.919
_cell_angle_alpha 90.00
_cell_angle_beta 106.52
_cell_angle_gamma 90.00
_space_group_name_H-M_alt 'C 1 2/m 1'
_space_group_IT_number 12
_space_group_name_Hall '-C 2y'
loop_
_atom_site_label
_atom_site_type_symbol
_atom_site_fract_x
_atom_site_fract_y
_atom_site_fract_z
K1 K 0.000 0.000 0.000
K2 K 0.000 0.336 0.000
Zr1 Zr 0.000 0.500 0.500
V1 V 0.000 0.167 0.500
Se1 Se 0.219 0.000 0.689
Se2 Se 0.235 0.328 0.691
```

Peak list (10 most intense, 2θ from 10° to 90°, low angle first)
| 2θ (°) | intensity | hkl |
| --- | --- | --- |
| 11.7 | 37 | 0 0 1 |
| 30.8 | 100 | 2 0 -2 |
| 38.4 | 19 | 1 3 2 |
| 41.5 | 26 | 1 3 -3 |
| 46.5 | 35 | 0 6 0 |
| 48.1 | 8 | 3 3 0 |
| 51.8 | 12 | 1 3 -4 |
| 56.8 | 16 | 2 6 -2 |
| 64.1 | 7 | 4 0 -4 |
| 76.4 | 14 | 5 3 -3 |